# Pr3Sm4Se8
Computed powder X-ray diffraction pattern, CuKα. Input: the PBE geometry in Alexandria.

Top 10 peaks for 10 to 80 degrees two-theta, in order of falling intensity:
2.973 Å, 30.06 deg, I 100; 2.103 Å, 43.01 deg, I 62; 1.330 Å, 70.87 deg, I 22; 1.718 Å, 53.31 deg, I 13; 1.715 Å, 53.44 deg, I 13; 1.215 Å, 78.78 deg, I 13; 1.213 Å, 78.95 deg, I 12; 2.099 Å, 43.10 deg, I 12; 1.487 Å, 62.48 deg, I 12; 3.433 Å, 25.95 deg, I 10

Atomic structure:
```
Pr3Sm4Se8
1.0
5.945 -5.946 0.000
5.945 5.946 0.000
-5.925 0.000 5.948
Pr Sm Se
3 4 8
Direct
0.000 0.000 0.000
0.000 0.500 0.000
0.500 0.000 0.000
0.000 0.500 0.500
0.500 0.000 0.500
0.500 0.500 0.000
0.500 0.500 0.500
0.249 0.751 0.500
0.251 0.251 0.505
0.252 0.252 0.999
0.253 0.747 0.000
0.747 0.253 0.000
0.748 0.748 0.001
0.749 0.749 0.495
0.751 0.249 0.500
```